[1]
Starting from a crystal structure in Alexandria, relaxed with PBE, the powder X-ray diffraction pattern of BaSmTlZn was computed for Cu Kα (weighted mean of Kα1 and Kα2).

Cell and atoms:
abc: 7.9776 7.9776 7.9776
angles: 90.00 90.00 90.00
Space group F-43m (No. 216)
Asymmetric unit:
Ba: 0.0000 0.0000 0.0000 [4 per cell]
Sm: 0.0000 0.0000 0.5000 [4 per cell]
Tl: 0.2500 0.2500 0.2500 [4 per cell]
Zn: 0.2500 0.2500 0.7500 [4 per cell]

The 12 most intense peaks (15° ≤ 2θ ≤ 90°), in order of rising 2θ:
2θ 19.27, I = 120
2θ 31.72, I = 1000
2θ 37.39, I = 70
2θ 45.48, I = 185
2θ 49.82, I = 32
2θ 56.51, I = 388
2θ 60.28, I = 25
2θ 66.28, I = 120
2θ 69.74, I = 25
2θ 75.35, I = 166
2θ 84.06, I = 42
2θ 87.28, I = 15



[2]
Starting from a crystal structure in Alexandria, relaxed with PBE, the powder X-ray diffraction pattern of TlCrSeS was computed for Cu Kα (weighted mean of Kα1 and Kα2).

Cell and atoms:
abc: 3.6950 3.6950 22.6658
angles: 90.00 90.00 120.00
Space group R3m (No. 160, hexagonal axes)
Asymmetric unit:
Tl: 0.0000 0.0000 0.0000 [3 per cell]
Cr: 0.0000 0.0000 0.8423 [3 per cell]
Se: 0.0000 0.0000 0.4481 [3 per cell]
S: 0.0000 0.0000 0.2302 [3 per cell]

The 12 most intense peaks (15° ≤ 2θ ≤ 90°), in order of rising 2θ:
2θ 23.55, I = 415
2θ 28.16, I = 511
2θ 28.99, I = 979
2θ 32.12, I = 702
2θ 34.30, I = 1000
2θ 35.65, I = 250
2θ 39.60, I = 604
2θ 42.62, I = 239
2θ 49.32, I = 618
2θ 55.36, I = 252
2θ 60.47, I = 256
2θ 62.33, I = 303



[3]
Starting from a crystal structure in Alexandria, relaxed with PBE, the powder X-ray diffraction pattern of Nd2DyTm5 was computed for Cu Kα (weighted mean of Kα1 and Kα2).

Cell and atoms:
abc: 16.0887 9.8110 6.5090
angles: 90.00 99.05 90.00
Space group C2/c (No. 15)
Asymmetric unit:
Nd: 0.0790 0.2449 0.1175 [8 per cell]
Dy: 0.2500 0.2500 0.0000 [4 per cell]
Tm: 0.0000 0.4413 0.7500 [4 per cell]
Tm: 0.1008 0.0894 0.6480 [8 per cell]
Tm: 0.1977 0.4125 0.5258 [8 per cell]

The 12 most intense peaks (15° ≤ 2θ ≤ 90°), in order of rising 2θ:
2θ 29.55, I = 228
2θ 30.55, I = 190
2θ 30.75, I = 70
2θ 31.60, I = 1000
2θ 38.64, I = 59
2θ 43.08, I = 74
2θ 44.52, I = 82
2θ 45.99, I = 57
2θ 50.05, I = 46
2θ 56.29, I = 134
2θ 61.57, I = 56
2θ 66.01, I = 89



[4]
Starting from a crystal structure in Alexandria, relaxed with PBE, the powder X-ray diffraction pattern of LaY7Er3 was computed for Cu Kα (weighted mean of Kα1 and Kα2).

Cell and atoms:
abc: 6.9251 5.5826 9.9356
angles: 90.00 108.52 90.00
Space group P2/m (No. 10)
Asymmetric unit:
La: 0.0000 0.0000 0.0000 [1 per cell]
Y: 0.0000 0.0000 0.5000 [1 per cell]
Y: 0.1473 0.5000 0.7878 [2 per cell]
Y: 0.3266 0.5000 0.1406 [2 per cell]
Y: 0.4304 0.0000 0.3321 [2 per cell]
Er: 0.2746 0.5000 0.4939 [2 per cell]
Er: 0.5000 0.0000 0.0000 [1 per cell]

The 12 most intense peaks (15° ≤ 2θ ≤ 90°), in order of rising 2θ:
2θ 18.47, I = 192
2θ 18.84, I = 213
2θ 31.61, I = 806
2θ 31.75, I = 198
2θ 32.10, I = 1000
2θ 32.60, I = 194
2θ 32.72, I = 575
2θ 45.62, I = 147
2θ 46.38, I = 145
2θ 56.87, I = 122
2θ 57.57, I = 113
2θ 63.22, I = 123